Diffraction record for KNa7Al8Si8O32. The powder diffraction line list is calculated, not measured: it uses a crystal structure in Alexandria, relaxed with PBE and CuKα.
Peak positions follow from Bragg's law for the DFT cell and can differ from measured ones.

The 10 most intense peaks (2θ = 10–90°), low angle first:
4.242 Å, intensity 65
3.920 Å, intensity 48
3.896 Å, intensity 70
3.338 Å, intensity 48
3.318 Å, intensity 36
3.056 Å, intensity 100
3.048 Å, intensity 55
2.924 Å, intensity 46
2.379 Å, intensity 40
2.376 Å, intensity 30

Structure:
Cell: 8.485 10.105 10.169 Å, 60.39 89.99 90.00°
Space group P1 (No. 1)
Symmetry-distinct sites (fractional):
K 0.000 0.000 0.000 x1
Na 0.005 0.438 0.572 x1
Na 0.006 0.543 0.027 x1
Na 0.010 0.981 0.463 x1
Na 0.503 0.920 0.090 x1
Na 0.505 0.999 0.561 x1
Na 0.507 0.429 0.006 x1
Na 0.507 0.547 0.460 x1
Al 0.187 0.754 0.337 x1
Al 0.198 0.334 0.910 x1
Al 0.199 0.304 0.353 x1
Al 0.199 0.889 0.776 x1
Al 0.691 0.083 0.245 x1
Al 0.696 0.225 0.682 x1
Al 0.698 0.644 0.114 x1
Al 0.699 0.662 0.662 x1
Si 0.312 0.661 0.661 x1
Si 0.318 0.644 0.114 x1
Si 0.319 0.226 0.679 x1
Si 0.324 0.083 0.244 x1
Si 0.813 0.304 0.354 x1
Si 0.817 0.888 0.777 x1
Si 0.818 0.336 0.909 x1
Si 0.825 0.753 0.337 x1
O 0.000 0.345 0.958 x1
O 0.000 0.947 0.731 x1
O 0.194 0.951 0.274 x1
O 0.202 0.254 0.791 x1
O 0.207 0.759 0.971 x1
O 0.214 0.641 0.533 x1
O 0.240 0.475 0.186 x1
O 0.248 0.329 0.508 x1
O 0.259 0.818 0.658 x1
O 0.283 0.516 0.830 x1
O 0.299 0.146 0.363 x1
O 0.312 0.223 0.071 x1
O 0.322 0.045 0.733 x1
O 0.327 0.707 0.236 x1
O 0.498 0.673 0.616 x1
O 0.500 0.007 0.267 x1
O 0.500 0.285 0.678 x1
O 0.500 0.641 0.061 x1
O 0.692 0.725 0.235 x1
O 0.703 0.027 0.756 x1
O 0.709 0.161 0.364 x1
O 0.712 0.219 0.055 x1
O 0.735 0.503 0.840 x1
O 0.755 0.829 0.663 x1
O 0.769 0.330 0.496 x1
O 0.778 0.461 0.195 x1
O 0.792 0.642 0.517 x1
O 0.817 0.755 0.955 x1
O 0.823 0.276 0.786 x1
O 0.825 0.932 0.293 x1
O 0.998 0.711 0.296 x1
O 0.999 0.259 0.358 x1